Starting from DFT lattice parameters and positions (GGA+U), the powder diffraction line list of K2CoH2Se2O10 was calculated for copper Kα.
Peak positions follow from Bragg's law for the DFT cell and can differ from measured ones.

Principal peaks in the range 2θ = 10–80°, by angle:
index  Position (°2θ)  Rel. int.
0 0 1  12.4  45
0 1 -1  15.5  100
1 0 1  23.1  27
-1 1 1  23.7  30
0 1 -2  24.1  39
0 0 2  25.0  31
1 1 0  25.9  77
1 -2 0  29.5  64
1 -1 2  29.8  27
2 -1 0  33.1  69

Atomic structure:
a b c (Å): 5.484 6.642 7.672
angles (deg): 108.58 95.52 104.96
Atoms (fractional coordinates):
K (0.215, 0.317, 0.227)
K (0.785, 0.683, 0.773)
Co (0.500, 0.000, 0.500)
H (0.386, 0.016, 0.786)
H (0.614, 0.984, 0.214)
Se (0.143, 0.287, 0.726)
Se (0.857, 0.713, 0.274)
O (0.124, 0.108, 0.838)
O (0.126, 0.764, 0.429)
O (0.238, 0.550, 0.866)
O (0.373, 0.260, 0.586)
O (0.476, 0.032, 0.276)
O (0.524, 0.968, 0.724)
O (0.627, 0.740, 0.414)
O (0.762, 0.450, 0.134)
O (0.874, 0.236, 0.571)
O (0.876, 0.892, 0.162)

Starting from DFT lattice parameters and positions (GGA+U), the powder diffraction line list of LiCoPHO5 was calculated for copper Kα.
Peak positions follow from Bragg's law for the DFT cell and can differ from measured ones.

Principal peaks in the range 2θ = 10–80°, by angle:
index  Position (°2θ)  Rel. int.
0 1 0  18.2  60
1 0 -1  19.0  30
1 0 0  19.1  67
1 -1 0  22.7  37
-1 1 1  26.5  23
1 0 -2  27.7  75
0 1 -2  27.9  100
1 1 0  29.9  88
1 -2 0  36.8  43
2 -2 0  46.4  23

Atomic structure:
a b c (Å): 5.079 5.286 7.041
angles (deg): 106.93 108.79 98.37
Atoms (fractional coordinates):
Li (0.244, 0.394, 0.322)
Li (0.756, 0.606, 0.678)
Co (0.500, 0.000, 0.000)
Co (0.500, 0.000, 0.500)
P (0.178, 0.352, 0.735)
P (0.822, 0.648, 0.265)
H (0.154, 0.930, 0.154)
H (0.846, 0.070, 0.846)
O (0.137, 0.757, 0.433)
O (0.198, 0.660, 0.843)
O (0.224, 0.198, 0.894)
O (0.355, 0.048, 0.227)
O (0.391, 0.330, 0.616)
O (0.609, 0.670, 0.384)
O (0.645, 0.952, 0.773)
O (0.776, 0.802, 0.106)
O (0.802, 0.340, 0.157)
O (0.863, 0.243, 0.567)

Starting from DFT lattice parameters and positions (GGA+U), the powder diffraction line list of LiCo2P4H3O16 was calculated for copper Kα.
Peak positions follow from Bragg's law for the DFT cell and can differ from measured ones.

Principal peaks in the range 2θ = 10–80°, by angle:
index  Position (°2θ)  Rel. int.
0 1 -1  16.0  74
0 1 1  16.3  59
1 -1 1  22.7  41
1 1 0  24.1  100
0 1 -2  24.7  33
0 1 2  25.1  31
-1 2 1  28.9  41
1 -2 1  29.1  73
0 2 -2  32.3  27
0 2 2  32.9  30

Atomic structure:
a b c (Å): 4.963 7.612 8.171
angles (deg): 90.67 92.11 102.67
Atoms (fractional coordinates):
Li (0.000, 0.000, 0.000)
Co (0.097, 0.142, 0.387)
Co (0.598, 0.640, 0.874)
P (0.207, 0.892, 0.717)
P (0.495, 0.903, 0.212)
P (0.702, 0.387, 0.548)
P (0.989, 0.393, 0.041)
H (0.268, 0.770, 0.407)
H (0.536, 0.119, 0.846)
H (0.944, 0.522, 0.357)
O (0.032, 0.348, 0.223)
O (0.168, 0.940, 0.537)
O (0.267, 0.476, 0.965)
O (0.285, 0.025, 0.193)
O (0.335, 0.068, 0.824)
O (0.356, 0.730, 0.309)
O (0.390, 0.752, 0.724)
O (0.438, 0.294, 0.446)
O (0.592, 0.843, 0.049)
O (0.625, 0.447, 0.714)
O (0.755, 0.004, 0.313)
O (0.814, 0.539, 0.033)
O (0.853, 0.559, 0.454)
O (0.857, 0.217, 0.947)
O (0.890, 0.251, 0.562)
O (0.938, 0.821, 0.806)